(1)
The following is a computed powder XRD pattern of CePr2Er6. It was derived from a PBE-relaxed structure, using Cu Kα (weighted mean of Kα1 and Kα2).
Neutral-atom scattering factors, no anomalous dispersion.

Structural model:
```
data_CePr2Er6
_space_group_name_H-M_alt 'P -3'
_space_group_IT_number 147
_space_group_name_Hall '-P 3'
_cell_length_a 9.7321
_cell_length_b 9.7321
_cell_length_c 3.5151
_cell_angle_alpha 90.00
_cell_angle_beta 90.00
_cell_angle_gamma 120.00
loop_
_atom_site_label
_atom_site_type_symbol
_atom_site_fract_x
_atom_site_fract_y
_atom_site_fract_z
Ce1 Ce 0.0000 0.0000 0.0000
Pr1 Pr 0.3333 0.6667 0.7641
Er1 Er 0.0211 0.6737 0.2702
```

Peak list (6 most intense, 2θ from 5° to 70°, low angle first)
- 2θ = 31.39°, I 83.3
- 2θ = 31.85°, I 100.0
- 2θ = 45.33°, I 28.0
- 2θ = 56.47°, I 27.2
- 2θ = 56.76°, I 18.7
- 2θ = 62.32°, I 17.6

(2)
The following is a computed powder XRD pattern of CePr6Er10. It was derived from a PBE-relaxed structure, using Cu Kα (weighted mean of Kα1 and Kα2).
Neutral-atom scattering factors, no anomalous dispersion.

Structural model:
```
data_CePr6Er10
_space_group_name_H-M_alt 'P -3 1 m'
_space_group_IT_number 162
_space_group_name_Hall '-P 3 2'
_cell_length_a 9.6919
_cell_length_b 9.6919
_cell_length_c 6.9253
_cell_angle_alpha 90.00
_cell_angle_beta 90.00
_cell_angle_gamma 120.00
loop_
_atom_site_label
_atom_site_type_symbol
_atom_site_fract_x
_atom_site_fract_y
_atom_site_fract_z
Ce1 Ce 0.0000 0.0000 0.0000
Pr1 Pr 0.0000 0.3799 0.2007
Er1 Er 0.0000 0.2712 0.6806
Er2 Er 0.3333 0.6667 0.0000
Er3 Er 0.3333 0.6667 0.5000
```

Peak list (6 most intense, 2θ from 5° to 70°, low angle first)
- 2θ = 31.01°, I 50.6
- 2θ = 31.76°, I 100.0
- 2θ = 31.99°, I 71.7
- 2θ = 45.70°, I 23.8
- 2θ = 56.44°, I 17.9
- 2θ = 56.87°, I 15.1

(3)
The following is a computed powder XRD pattern of Ce4PrEr3S8. It was derived from a PBE-relaxed structure, using Cu Kα (weighted mean of Kα1 and Kα2).
Neutral-atom scattering factors, no anomalous dispersion.

Structural model:
```
data_Ce4PrEr3S8
_space_group_name_H-M_alt 'R -3 m'
_space_group_IT_number 166
_space_group_name_Hall '-R 3 2"'
_cell_length_a 7.9297
_cell_length_b 7.9297
_cell_length_c 19.6123
_cell_angle_alpha 90.00
_cell_angle_beta 90.00
_cell_angle_gamma 120.00
loop_
_atom_site_label
_atom_site_type_symbol
_atom_site_fract_x
_atom_site_fract_y
_atom_site_fract_z
Ce1 Ce 0.0000 0.0000 0.0000
Ce2 Ce 0.0000 0.5000 0.0000
Pr1 Pr 0.0000 0.0000 0.5000
Er1 Er 0.0000 0.5000 0.5000
S1 S 0.0000 0.0000 0.2448
S2 S 0.0101 0.5051 0.7529
```

Peak list (6 most intense, 2θ from 5° to 70°, low angle first)
- 2θ = 27.28°, I 19.7
- 2θ = 27.52°, I 57.6
- 2θ = 31.82°, I 100.0
- 2θ = 45.46°, I 36.3
- 2θ = 45.77°, I 35.7
- 2θ = 54.10°, I 19.1

(4)
The following is a computed powder XRD pattern of TbCePr2Er5. It was derived from a PBE-relaxed structure, using Cu Kα (weighted mean of Kα1 and Kα2).
Neutral-atom scattering factors, no anomalous dispersion.

Structural model:
```
data_TbCePr2Er5
_space_group_name_H-M_alt 'I 4/m c m'
_space_group_IT_number 140
_space_group_name_Hall '-I 4 2c'
_cell_length_a 8.5839
_cell_length_b 8.5839
_cell_length_c 15.6243
_cell_angle_alpha 90.00
_cell_angle_beta 90.00
_cell_angle_gamma 90.00
loop_
_atom_site_label
_atom_site_type_symbol
_atom_site_fract_x
_atom_site_fract_y
_atom_site_fract_z
Tb1 Tb 0.0000 0.0000 0.2500
Ce1 Ce 0.0000 0.5000 0.2500
Pr1 Pr 0.1204 0.3796 0.0000
Er1 Er 0.0000 0.0000 0.0000
Er2 Er 0.2064 0.2936 0.3586
```

Peak list (6 most intense, 2θ from 5° to 70°, low angle first)
- 2θ = 28.89°, I 57.8
- 2θ = 29.43°, I 51.3
- 2θ = 30.96°, I 100.0
- 2θ = 33.00°, I 17.1
- 2θ = 47.01°, I 16.0
- 2θ = 53.17°, I 20.7

(5)
The following is a computed powder XRD pattern of Tb2CePr2Er2. It was derived from a PBE-relaxed structure, using Cu Kα (weighted mean of Kα1 and Kα2).
Neutral-atom scattering factors, no anomalous dispersion.

Structural model:
```
data_Tb2CePr2Er2
_space_group_name_H-M_alt 'I m m m'
_space_group_IT_number 71
_space_group_name_Hall '-I 2 2'
_cell_length_a 3.4961
_cell_length_b 5.6581
_cell_length_c 23.0235
_cell_angle_alpha 90.00
_cell_angle_beta 90.00
_cell_angle_gamma 90.00
loop_
_atom_site_label
_atom_site_type_symbol
_atom_site_fract_x
_atom_site_fract_y
_atom_site_fract_z
Tb1 Tb 0.0000 0.0000 0.2086
Ce1 Ce 0.0000 0.5000 0.0000
Pr1 Pr 0.0000 0.0000 0.3586
Er1 Er 0.0000 0.5000 0.4296
```

Peak list (6 most intense, 2θ from 5° to 70°, low angle first)
- 2θ = 31.06°, I 86.2
- 2θ = 31.46°, I 100.0
- 2θ = 31.63°, I 50.3
- 2θ = 32.15°, I 43.3
- 2θ = 45.72°, I 32.8
- 2θ = 62.39°, I 42.7

(6)
The following is a computed powder XRD pattern of CePrErTm2. It was derived from a PBE-relaxed structure, using Cu Kα (weighted mean of Kα1 and Kα2).
Neutral-atom scattering factors, no anomalous dispersion.

Structural model:
```
data_CePrErTm2
_space_group_name_H-M_alt 'P m m a'
_space_group_IT_number 51
_space_group_name_Hall '-P 2a 2a'
_cell_length_a 5.7794
_cell_length_b 7.6769
_cell_length_c 7.3117
_cell_angle_alpha 90.00
_cell_angle_beta 90.00
_cell_angle_gamma 90.00
loop_
_atom_site_label
_atom_site_type_symbol
_atom_site_fract_x
_atom_site_fract_y
_atom_site_fract_z
Ce1 Ce 0.0000 0.0000 0.0000
Pr1 Pr 0.2500 0.5000 0.1638
Er1 Er 0.2500 0.0000 0.3811
Tm1 Tm 0.2500 0.2888 0.6722
```

Peak list (6 most intense, 2θ from 5° to 70°, low angle first)
- 2θ = 30.51°, I 100.0
- 2θ = 30.95°, I 24.8
- 2θ = 31.21°, I 49.0
- 2θ = 35.39°, I 24.0
- 2θ = 49.16°, I 20.9
- 2θ = 54.77°, I 37.1

(7)
The following is a computed powder XRD pattern of CeErPt. It was derived from a PBE-relaxed structure, using Cu Kα (weighted mean of Kα1 and Kα2).
Neutral-atom scattering factors, no anomalous dispersion.

Structural model:
```
data_CeErPt
_space_group_name_H-M_alt 'F -4 3 m'
_space_group_IT_number 216
_space_group_name_Hall 'F -4 2 3'
_cell_length_a 6.9248
_cell_length_b 6.9248
_cell_length_c 6.9248
_cell_angle_alpha 90.00
_cell_angle_beta 90.00
_cell_angle_gamma 90.00
loop_
_atom_site_label
_atom_site_type_symbol
_atom_site_fract_x
_atom_site_fract_y
_atom_site_fract_z
Ce1 Ce 0.0000 0.0000 0.0000
Er1 Er 0.0000 0.0000 0.5000
Pt1 Pt 0.2500 0.2500 0.7500
```

Peak list (6 most intense, 2θ from 5° to 70°, low angle first)
- 2θ = 22.24°, I 36.0
- 2θ = 36.71°, I 100.0
- 2θ = 43.34°, I 19.2
- 2θ = 52.89°, I 17.7
- 2θ = 58.06°, I 8.2
- 2θ = 66.10°, I 36.2

(8)
The following is a computed powder XRD pattern of Ce2Er2Pt3. It was derived from a PBE-relaxed structure, using Cu Kα (weighted mean of Kα1 and Kα2).
Neutral-atom scattering factors, no anomalous dispersion.

Structural model:
```
data_Ce2Er2Pt3
_space_group_name_H-M_alt 'I 21 3'
_space_group_IT_number 199
_space_group_name_Hall 'I 2b 2c 3'
_cell_length_a 8.7642
_cell_length_b 8.7642
_cell_length_c 8.7642
_cell_angle_alpha 90.00
_cell_angle_beta 90.00
_cell_angle_gamma 90.00
loop_
_atom_site_label
_atom_site_type_symbol
_atom_site_fract_x
_atom_site_fract_y
_atom_site_fract_z
Ce1 Ce 0.0618 0.0618 0.0618
Er1 Er 0.1868 0.3132 0.6868
Pt1 Pt 0.0000 0.2500 0.3847
```

Peak list (6 most intense, 2θ from 5° to 70°, low angle first)
- 2θ = 32.30°, I 100.0
- 2θ = 38.43°, I 54.5
- 2θ = 46.33°, I 16.3
- 2θ = 48.73°, I 12.7
- 2θ = 53.30°, I 25.1
- 2θ = 65.67°, I 25.8

(9)
The following is a computed powder XRD pattern of Ce2Er2Pt15. It was derived from a PBE-relaxed structure, using Cu Kα (weighted mean of Kα1 and Kα2).
Neutral-atom scattering factors, no anomalous dispersion.

Structural model:
```
data_Ce2Er2Pt15
_space_group_name_H-M_alt 'R -3 m'
_space_group_IT_number 166
_space_group_name_Hall '-R 3 2"'
_cell_length_a 9.3347
_cell_length_b 9.3347
_cell_length_c 13.8468
_cell_angle_alpha 90.00
_cell_angle_beta 90.00
_cell_angle_gamma 120.00
loop_
_atom_site_label
_atom_site_type_symbol
_atom_site_fract_x
_atom_site_fract_y
_atom_site_fract_z
Ce1 Ce 0.0000 0.0000 0.1434
Er1 Er 0.0000 0.0000 0.3936
Pt1 Pt 0.0000 0.3139 0.5000
Pt2 Pt 0.0000 0.5000 0.0000
Pt3 Pt 0.0053 0.5027 0.6555
```

Peak list (6 most intense, 2θ from 5° to 70°, low angle first)
- 2θ = 33.25°, I 29.3
- 2θ = 38.58°, I 48.8
- 2θ = 38.69°, I 96.2
- 2θ = 39.03°, I 37.1
- 2θ = 43.45°, I 100.0
- 2θ = 69.80°, I 29.4

(10)
The following is a computed powder XRD pattern of CeErPu2Se4. It was derived from a PBE-relaxed structure, using Cu Kα (weighted mean of Kα1 and Kα2).
Neutral-atom scattering factors, no anomalous dispersion.

Structural model:
```
data_CeErPu2Se4
_space_group_name_H-M_alt 'P 1 2/m 1'
_space_group_IT_number 10
_space_group_name_Hall '-P 2y'
_cell_length_a 7.1513
_cell_length_b 4.1234
_cell_length_c 7.1845
_cell_angle_alpha 90.00
_cell_angle_beta 109.26
_cell_angle_gamma 90.00
loop_
_atom_site_label
_atom_site_type_symbol
_atom_site_fract_x
_atom_site_fract_y
_atom_site_fract_z
Ce1 Ce 0.0000 0.0000 0.0000
Er1 Er 0.0000 0.5000 0.5000
Pu1 Pu 0.5000 0.0000 0.5000
Pu2 Pu 0.5000 0.5000 0.0000
Se1 Se 0.2460 0.0000 0.7421
Se2 Se 0.2515 0.5000 0.2574
```

Peak list (6 most intense, 2θ from 5° to 70°, low angle first)
- 2θ = 26.44°, I 24.3
- 2θ = 30.57°, I 100.0
- 2θ = 43.68°, I 37.7
- 2θ = 43.89°, I 37.4
- 2θ = 54.47°, I 13.3
- 2θ = 63.65°, I 12.4

(11)
The following is a computed powder XRD pattern of Rb2Ce2ErSe6. It was derived from a PBE-relaxed structure, using Cu Kα (weighted mean of Kα1 and Kα2).
Neutral-atom scattering factors, no anomalous dispersion.

Structural model:
```
data_Rb2Ce2ErSe6
_space_group_name_H-M_alt 'C 1 2/m 1'
_space_group_IT_number 12
_space_group_name_Hall '-C 2y'
_cell_length_a 7.3839
_cell_length_b 12.7465
_cell_length_c 8.5059
_cell_angle_alpha 90.00
_cell_angle_beta 106.80
_cell_angle_gamma 90.00
loop_
_atom_site_label
_atom_site_type_symbol
_atom_site_fract_x
_atom_site_fract_y
_atom_site_fract_z
Rb1 Rb 0.0000 0.1675 0.0000
Ce1 Ce 0.0000 0.3338 0.5000
Er1 Er 0.0000 0.0000 0.5000
Se1 Se 0.2276 0.1646 0.6911
Se2 Se 0.2377 0.5000 0.6912
```

Peak list (6 most intense, 2θ from 5° to 70°, low angle first)
- 2θ = 10.87°, I 82.7
- 2θ = 28.25°, I 50.8
- 2θ = 28.30°, I 100.0
- 2θ = 35.42°, I 30.6
- 2θ = 38.28°, I 48.4
- 2θ = 42.44°, I 36.5

(12)
The following is a computed powder XRD pattern of Rb3CeEr3Se8. It was derived from a PBE-relaxed structure, using Cu Kα (weighted mean of Kα1 and Kα2).
Neutral-atom scattering factors, no anomalous dispersion.

Structural model:
```
data_Rb3CeEr3Se8
_space_group_name_H-M_alt 'R -3 m'
_space_group_IT_number 166
_space_group_name_Hall '-R 3 2"'
_cell_length_a 8.3623
_cell_length_b 8.3623
_cell_length_c 24.3777
_cell_angle_alpha 90.00
_cell_angle_beta 90.00
_cell_angle_gamma 120.00
loop_
_atom_site_label
_atom_site_type_symbol
_atom_site_fract_x
_atom_site_fract_y
_atom_site_fract_z
Rb1 Rb 0.0000 0.5000 0.0000
Ce1 Ce 0.0000 0.0000 0.5000
Er1 Er 0.0000 0.5000 0.5000
Se1 Se 0.0000 0.0000 0.2309
Se2 Se 0.0021 0.5011 0.7695
```

Peak list (6 most intense, 2θ from 5° to 70°, low angle first)
- 2θ = 10.89°, I 52.9
- 2θ = 28.68°, I 100.0
- 2θ = 35.77°, I 19.1
- 2θ = 38.62°, I 33.0
- 2θ = 43.28°, I 35.7
- 2θ = 52.74°, I 18.0

(13)
The following is a computed powder XRD pattern of CeEr5Rh6. It was derived from a PBE-relaxed structure, using Cu Kα (weighted mean of Kα1 and Kα2).
Neutral-atom scattering factors, no anomalous dispersion.

Structural model:
```
data_CeEr5Rh6
_space_group_name_H-M_alt 'C m m m'
_space_group_IT_number 65
_space_group_name_Hall '-C 2 2'
_cell_length_a 4.7799
_cell_length_b 14.3130
_cell_length_c 6.9716
_cell_angle_alpha 90.00
_cell_angle_beta 90.00
_cell_angle_gamma 90.00
loop_
_atom_site_label
_atom_site_type_symbol
_atom_site_fract_x
_atom_site_fract_y
_atom_site_fract_z
Ce1 Ce 0.0000 0.0000 0.0000
Er1 Er 0.0000 0.0000 0.5000
Er2 Er 0.0000 0.3310 0.0000
Er3 Er 0.0000 0.3325 0.5000
Rh1 Rh 0.0000 0.1648 0.2498
Rh2 Rh 0.0000 0.5000 0.2488
```

Peak list (6 most intense, 2θ from 5° to 70°, low angle first)
- 2θ = 37.07°, I 100.0
- 2θ = 37.67°, I 47.8
- 2θ = 52.50°, I 9.2
- 2θ = 54.34°, I 16.5
- 2θ = 66.41°, I 17.9
- 2θ = 67.61°, I 33.9